Diffraction record for Nd3PSe2. The powder diffraction line list is theoretical, not measured: it uses a crystal structure in OQMD, relaxed with PBE and λ = 1.5418 Å (Cu Kα).
Neutral-atom scattering factors, no anomalous dispersion.

Main lines, by angle (2θ from 5° to 70°):
- 2θ 25.73, I = 7, (0 0 3)
- 2θ 25.97, I = 23, (0 1 1)
- 2θ 30.00, I = 100, (1 0 2)
- 2θ 42.79, I = 35, (0 1 4)
- 2θ 43.10, I = 37, (1 1 0)
- 2θ 50.87, I = 7, (1 1 3)
- 2θ 53.40, I = 20, (0 2 2)
- 2θ 62.35, I = 11, (2 0 4)

```
data_Nd3PSe2
_space_group_name_H-M_alt 'P -3 m 1'
_space_group_IT_number 164
_space_group_name_Hall '-P 3 2"'
_cell_length_a 4.1981
_cell_length_b 4.1981
_cell_length_c 10.3889
_cell_angle_alpha 90.00
_cell_angle_beta 90.00
_cell_angle_gamma 120.00
loop_
_atom_site_label
_atom_site_type_symbol
_atom_site_fract_x
_atom_site_fract_y
_atom_site_fract_z
Nd1 Nd 0.0000 0.0000 0.0000
Nd2 Nd 0.3333 0.6667 0.3475
P1 P 0.0000 0.0000 0.5000
Se1 Se 0.3333 0.6667 0.8318
```